[1]
For LaNd5Al6, a DFT-relaxed cell (PBE, Alexandria) gives the calculated powder X-ray diffraction pattern in this record (CuKα).

Crystal structure
abc: 5.290 7.481 15.861
angles: 90.00 90.00 90.00
Space group Immm (No. 71)
Unique sites:
La1 0.000 0.000 0.000
Nd1 0.000 0.000 0.331
Nd2 0.000 0.500 0.000
Nd3 0.000 0.500 0.338
Al1 0.000 0.239 0.500
Al2 0.000 0.256 0.169

Peak list (8 most intense, 10° ≤ 2θ ≤ 80°, most intense first)
| d (Å) | 2θ (°) | intensity | index |
| --- | --- | --- | --- |
| 2.645 | 33.9 | 1000 | 2 0 0 |
| 3.740 | 23.8 | 569 | 0 2 0 |
| 1.527 | 60.7 | 367 | 3 2 3 |
| 1.673 | 54.9 | 236 | 1 4 3 |
| 1.870 | 48.7 | 178 | 0 4 0 |
| 2.159 | 41.8 | 174 | 2 2 0 |
| 1.322 | 71.3 | 112 | 4 0 0 |
| 1.247 | 76.4 | 110 | 0 6 0 |

[2]
For LiGaSe2O6, a DFT-relaxed cell (PBE, Alexandria) gives the calculated powder X-ray diffraction pattern in this record (CuKα).

Crystal structure
abc: 10.741 10.741 10.070
angles: 90.00 90.00 90.00
Space group I-42d (No. 122)
Unique sites:
Li1 0.064 0.250 0.125
Ga1 0.214 0.750 0.125
Se1 0.054 0.725 0.843
O1 0.074 0.706 0.252
O2 0.082 0.206 0.792
O3 0.159 0.682 0.497

Peak list (10 most intense, 10° ≤ 2θ ≤ 80°, most intense first)
| d (Å) | 2θ (°) | intensity | index |
| --- | --- | --- | --- |
| 3.673 | 24.2 | 1000 | 2 0 2 |
| 5.370 | 16.5 | 955 | 2 0 0 |
| 2.816 | 31.8 | 580 | 3 1 2 |
| 3.397 | 26.2 | 478 | 3 1 0 |
| 2.262 | 39.9 | 445 | 3 3 2 |
| 2.751 | 32.5 | 353 | 2 1 3 |
| 2.685 | 33.4 | 219 | 4 0 0 |
| 3.797 | 23.4 | 201 | 2 2 0 |
| 2.168 | 41.7 | 193 | 4 2 2 |
| 1.593 | 57.9 | 166 | 4 1 5 |

[3]
For Tm8BiAu2, a DFT-relaxed cell (PBE, Alexandria) gives the calculated powder X-ray diffraction pattern in this record (CuKα).

Crystal structure
abc: 17.843 4.970 7.120
angles: 90.00 104.44 90.00
Space group C2/m (No. 12)
Unique sites:
Tm1 0.035 0.000 0.247
Tm2 0.092 0.500 0.961
Tm3 0.173 0.500 0.465
Tm4 0.203 0.000 0.829
Bi1 0.000 0.500 0.500
Au1 0.193 0.000 0.221

Peak list (10 most intense, 10° ≤ 2θ ≤ 80°, most intense first)
| d (Å) | 2θ (°) | intensity | index |
| --- | --- | --- | --- |
| 2.837 | 31.5 | 1000 | 5 1 -1 |
| 2.451 | 36.7 | 652 | 6 0 1 |
| 2.485 | 36.1 | 624 | 0 2 0 |
| 2.708 | 33.1 | 586 | 1 1 2 |
| 2.892 | 30.9 | 524 | 1 1 -2 |
| 1.441 | 64.7 | 203 | 7 1 3 |
| 3.098 | 28.8 | 202 | 3 1 1 |
| 2.065 | 43.8 | 175 | 6 0 -3 |
| 1.588 | 58.1 | 174 | 6 2 -3 |
| 1.354 | 69.4 | 166 | 5 1 -5 |